1.
Starting from a crystal structure in the Materials Project, relaxed with PBE, the X-ray diffraction stick pattern of FeTeS2N2Cl5 was simulated for Cu Kα (weighted mean of Kα1 and Kα2).
Peak positions follow from Bragg's law for the DFT cell and can differ from measured ones.

Peak list (6 most intense, 2θ from 10° to 80°, in order of rising 2θ)
| d/Å | Rel. int. |
| --- | --- |
| 6.057 | 71.8 |
| 5.633 | 100.0 |
| 5.538 | 69.6 |
| 4.469 | 61.8 |
| 4.402 | 82.7 |
| 2.860 | 61.4 |

Cell and atoms:
```
data_FeTeS2N2Cl5
_symmetry_space_group_name_H-M 'P 1'
_symmetry_Int_Tables_number 1
_cell_length_a 7.6416
_cell_length_b 12.5675
_cell_length_c 12.8202
_cell_angle_alpha 90.00
_cell_angle_beta 97.39
_cell_angle_gamma 90.00
loop_
_symmetry_equiv_pos_as_xyz
'x,y,z'
loop_
_atom_site_label
_atom_site_type_symbol
_atom_site_fract_x
_atom_site_fract_y
_atom_site_fract_z
Fe1 Fe 0.2270 0.1432 0.4623
Fe2 Fe 0.2270 0.3568 0.9623
Fe3 Fe 0.7730 0.6432 0.0377
Fe4 Fe 0.7730 0.8568 0.5377
Te1 Te 0.3614 0.5619 0.2399
Te2 Te 0.3614 0.9381 0.7399
Te3 Te 0.6386 0.0619 0.2601
Te4 Te 0.6386 0.4381 0.7601
S1 S 0.1269 0.0149 0.8395
S2 S 0.1269 0.4851 0.3395
S3 S 0.2088 0.6921 0.4108
S4 S 0.2088 0.8079 0.9108
S5 S 0.7912 0.1921 0.0892
S6 S 0.7912 0.3079 0.5892
S7 S 0.8731 0.5149 0.6605
S8 S 0.8731 0.9851 0.1605
N1 N 0.1051 0.5850 0.4170
N2 N 0.1051 0.9150 0.9170
N3 N 0.3367 0.6907 0.3248
N4 N 0.3367 0.8093 0.8248
N5 N 0.6633 0.1907 0.1752
N6 N 0.6633 0.3093 0.6752
N7 N 0.8949 0.0850 0.0830
N8 N 0.8949 0.4150 0.5830
Cl1 Cl 0.0266 0.7033 0.1222
Cl2 Cl 0.0266 0.7967 0.6222
Cl3 Cl 0.2360 0.1669 0.6354
Cl4 Cl 0.2360 0.3331 0.1354
Cl5 Cl 0.2583 0.5265 0.9306
Cl6 Cl 0.2583 0.9735 0.4306
Cl7 Cl 0.3772 0.5019 0.6545
Cl8 Cl 0.3772 0.9981 0.1545
Cl9 Cl 0.4425 0.2318 0.3992
Cl10 Cl 0.4425 0.2682 0.8992
Cl11 Cl 0.5575 0.7318 0.1008
Cl12 Cl 0.5575 0.7682 0.6008
Cl13 Cl 0.6228 0.0019 0.8455
Cl14 Cl 0.6228 0.4981 0.3455
Cl15 Cl 0.7417 0.0265 0.5694
Cl16 Cl 0.7417 0.4735 0.0694
Cl17 Cl 0.7640 0.6669 0.8646
Cl18 Cl 0.7640 0.8331 0.3646
Cl19 Cl 0.9734 0.2033 0.3778
Cl20 Cl 0.9734 0.2967 0.8778
```



2.
Starting from a crystal structure in the Materials Project, relaxed with PBE, the X-ray diffraction stick pattern of Na2FeCl4 was simulated for Cu Kα (weighted mean of Kα1 and Kα2).
Peak positions follow from Bragg's law for the DFT cell and can differ from measured ones.

Peak list (6 most intense, 2θ from 10° to 80°, in order of rising 2θ)
| d/Å | Rel. int. |
| --- | --- |
| 5.968 | 100.0 |
| 3.248 | 61.3 |
| 2.730 | 50.2 |
| 2.518 | 45.9 |
| 2.364 | 61.5 |
| 1.945 | 46.6 |

Cell and atoms:
```
data_Na2FeCl4
_symmetry_space_group_name_H-M 'P 1'
_symmetry_Int_Tables_number 1
_cell_length_a 6.9044
_cell_length_b 11.8865
_cell_length_c 3.8716
_cell_angle_alpha 90.00
_cell_angle_beta 90.00
_cell_angle_gamma 90.00
loop_
_symmetry_equiv_pos_as_xyz
'x,y,z'
loop_
_atom_site_label
_atom_site_type_symbol
_atom_site_fract_x
_atom_site_fract_y
_atom_site_fract_z
Na1 Na 0.0739 0.1811 0.0000
Na2 Na 0.4261 0.6811 0.0000
Na3 Na 0.5739 0.3189 0.0000
Na4 Na 0.9261 0.8189 0.0000
Fe1 Fe 0.0000 0.5000 0.5000
Fe2 Fe 0.5000 0.0000 0.5000
Cl1 Cl 0.1316 0.6903 0.5000
Cl2 Cl 0.2268 0.4503 0.0000
Cl3 Cl 0.2732 0.9503 0.0000
Cl4 Cl 0.3684 0.1903 0.5000
Cl5 Cl 0.6316 0.8097 0.5000
Cl6 Cl 0.7268 0.0497 0.0000
Cl7 Cl 0.7732 0.5497 0.0000
Cl8 Cl 0.8684 0.3097 0.5000
```